(1)
Starting from the PBE geometry in Alexandria, the powder diffractogram of Pm5Mg2Sn was calculated for CuKα.
Neutral-atom scattering factors, no anomalous dispersion.

Structural model:
Cell: 9.4973 9.4973 9.4973 Å, 129.43 129.43 74.32°
Atoms (fractional coordinates):
Pm: 0.0000 0.0000 0.0000
Pm: 0.0032 0.5032 0.8241
Pm: 0.1791 0.0032 0.5000
Pm: 0.3209 0.8209 0.8241
Pm: 0.4968 0.3209 0.5000
Pm: 0.5000 0.5000 0.0000
Pm: 0.5032 0.6791 0.5000
Pm: 0.6791 0.1791 0.1759
Pm: 0.8209 0.9968 0.5000
Pm: 0.9968 0.4968 0.1759
Mg: 0.1271 0.3729 0.5000
Mg: 0.3729 0.8729 0.2458
Mg: 0.6271 0.1271 0.7542
Mg: 0.8729 0.6271 0.5000
Sn: 0.2500 0.2500 0.0000
Sn: 0.7500 0.7500 0.0000

Main lines, in order of rising 2θ (5° ≤ 2θ ≤ 70°):
d (Å)  two_theta  Rel. int.
3.528  25.24  291
3.159  28.25  319
2.946  30.34  1000
2.868  31.18  152
2.767  32.35  358
2.565  34.98  541
1.833  49.74  176
1.798  50.77  159
1.707  53.71  173
1.525  60.73  213

=====

(2)
Starting from the PBE geometry in Alexandria, the powder diffractogram of LaCo2GeC was calculated for CuKα.
Neutral-atom scattering factors, no anomalous dispersion.

Structural model:
Cell: 5.7761 5.7761 6.9133 Å, 90.00 90.00 139.43°
Atoms (fractional coordinates):
La: 0.0577 0.9423 0.7500
La: 0.9423 0.0577 0.2500
Co: 0.3413 0.6587 0.5580
Co: 0.3413 0.6587 0.9420
Co: 0.6587 0.3413 0.0580
Co: 0.6587 0.3413 0.4420
Ge: 0.2245 0.7755 0.2500
Ge: 0.7755 0.2245 0.7500
C: 0.5000 0.5000 0.0000
C: 0.5000 0.5000 0.5000

Main lines, in order of rising 2θ (5° ≤ 2θ ≤ 70°):
d (Å)  two_theta  Rel. int.
3.457  25.77  159
2.682  33.41  287
2.544  35.28  1000
2.522  35.59  555
2.501  35.91  894
2.120  42.64  243
2.002  45.29  363
1.748  52.34  252
1.569  58.87  339
1.444  64.54  163

=====

(3)
Starting from the PBE geometry in Alexandria, the powder diffractogram of Hf9Ni11 was calculated for CuKα.
Neutral-atom scattering factors, no anomalous dispersion.

Structural model:
Cell: 7.6828 7.6828 7.6828 Å, 100.11 100.11 130.45°
Atoms (fractional coordinates):
Hf: 0.0000 0.0000 0.0000
Hf: 0.0920 0.3103 0.4022
Hf: 0.2434 0.5866 0.8300
Hf: 0.3103 0.9080 0.2183
Hf: 0.4134 0.2434 0.6567
Hf: 0.5866 0.7566 0.3433
Hf: 0.6897 0.0920 0.7817
Hf: 0.7566 0.4134 0.1700
Hf: 0.9080 0.6897 0.5978
Ni: 0.0124 0.9076 0.3374
Ni: 0.0924 0.4298 0.1048
Ni: 0.2500 0.7500 0.5000
Ni: 0.3250 0.9876 0.8952
Ni: 0.4298 0.3250 0.3374
Ni: 0.5000 0.5000 0.0000
Ni: 0.5702 0.6750 0.6626
Ni: 0.6750 0.0124 0.1048
Ni: 0.7500 0.2500 0.5000
Ni: 0.9076 0.5702 0.8952
Ni: 0.9876 0.0924 0.6626

Main lines, in order of rising 2θ (5° ≤ 2θ ≤ 70°):
d (Å)  two_theta  Rel. int.
3.219  27.71  165
3.120  28.61  230
2.518  35.65  175
2.240  40.25  1000
2.206  40.91  412
1.820  50.13  85
1.610  57.23  81
1.560  59.24  100
1.498  61.94  78
1.430  65.22  78

=====

(4)
Starting from the PBE geometry in Alexandria, the powder diffractogram of Sm2Ga7Pd12 was calculated for CuKα.
Neutral-atom scattering factors, no anomalous dispersion.

Structural model:
Cell: 10.2712 10.2712 3.9424 Å, 90.00 90.00 120.00°
Atoms (fractional coordinates):
Sm: 0.3333 0.6667 0.2430
Sm: 0.6667 0.3333 0.7570
Ga: 0.0000 0.0000 0.5000
Ga: 0.1147 0.7122 0.7460
Ga: 0.2878 0.4026 0.7460
Ga: 0.4026 0.1147 0.2540
Ga: 0.5974 0.8853 0.7460
Ga: 0.7122 0.5974 0.2540
Ga: 0.8853 0.2878 0.2540
Pd: 0.0624 0.4430 0.7507
Pd: 0.1174 0.2600 0.2443
Pd: 0.1427 0.8826 0.2443
Pd: 0.2600 0.1427 0.7557
Pd: 0.3807 0.9376 0.7507
Pd: 0.4430 0.3807 0.2493
Pd: 0.5570 0.6193 0.7507
Pd: 0.6193 0.0624 0.2493
Pd: 0.7400 0.8573 0.2443
Pd: 0.8573 0.1174 0.7557
Pd: 0.8826 0.7400 0.7557
Pd: 0.9376 0.5570 0.2493

Main lines, in order of rising 2θ (5° ≤ 2θ ≤ 70°):
d (Å)  two_theta  Rel. int.
2.568  34.94  93
2.558  35.08  1000
2.370  37.97  93
2.224  40.57  79
2.091  43.26  168
2.041  44.39  107
1.971  46.04  177
1.941  46.80  229
1.937  46.91  66
1.383  67.75  119

=====

(5)
Starting from the PBE geometry in Alexandria, the powder diffractogram of ThB6 was calculated for CuKα.
Neutral-atom scattering factors, no anomalous dispersion.

Structural model:
Cell: 4.1112 4.1112 4.1112 Å, 90.00 90.00 90.00°
Atoms (fractional coordinates):
Th: 0.0000 0.0000 0.0000
B: 0.1974 0.5000 0.5000
B: 0.5000 0.1974 0.5000
B: 0.5000 0.5000 0.1974
B: 0.5000 0.5000 0.8026
B: 0.5000 0.8026 0.5000
B: 0.8026 0.5000 0.5000

Main lines, in order of rising 2θ (5° ≤ 2θ ≤ 70°):
d (Å)  two_theta  Rel. int.
4.111  21.62  811
2.907  30.76  1000
2.374  37.91  416
2.056  44.05  211
1.839  49.58  526
1.678  54.69  327
1.454  64.06  114
1.370  68.46  283

=====

(6)
Starting from the PBE geometry in Alexandria, the powder diffractogram of AcBi2TeO4 was calculated for CuKα.
Neutral-atom scattering factors, no anomalous dispersion.

Structural model:
Cell: 4.0353 4.0353 10.3808 Å, 90.00 90.00 90.00°
Atoms (fractional coordinates):
Ac: 0.0000 0.0000 0.0000
Bi: 0.5000 0.5000 0.2573
Bi: 0.5000 0.5000 0.7427
Te: 0.0000 0.0000 0.5000
O: 0.0000 0.5000 0.1544
O: 0.0000 0.5000 0.8456
O: 0.5000 0.0000 0.1544
O: 0.5000 0.0000 0.8456

Main lines, in order of rising 2θ (5° ≤ 2θ ≤ 70°):
d (Å)  two_theta  Rel. int.
10.381  8.52  86
3.186  28.01  1000
2.853  31.35  312
2.595  34.56  125
2.018  44.93  167
1.920  47.35  271
1.705  53.78  338
1.593  57.89  121
1.590  58.00  130
1.427  65.41  54

=====

(7)
Starting from the PBE geometry in Alexandria, the powder diffractogram of MgTc2O6 was calculated for CuKα.
Neutral-atom scattering factors, no anomalous dispersion.

Structural model:
Cell: 7.1761 7.1761 5.6624 Å, 101.03 101.03 84.19°
Atoms (fractional coordinates):
Mg: 0.0890 0.9110 0.7500
Mg: 0.9110 0.0890 0.2500
Tc: 0.1721 0.3735 0.5964
Tc: 0.3735 0.1721 0.0964
Tc: 0.6265 0.8279 0.9036
Tc: 0.8279 0.6265 0.4036
O: 0.0521 0.1672 0.6195
O: 0.0617 0.6144 0.7034
O: 0.1672 0.0521 0.1195
O: 0.3326 0.3578 0.3793
O: 0.3578 0.3326 0.8793
O: 0.3856 0.9383 0.7966
O: 0.6144 0.0617 0.2034
O: 0.6422 0.6674 0.1207
O: 0.6674 0.6422 0.6207
O: 0.8328 0.9479 0.8805
O: 0.9383 0.3856 0.2966
O: 0.9479 0.8328 0.3805

Main lines, in order of rising 2θ (5° ≤ 2θ ≤ 70°):
d (Å)  two_theta  Rel. int.
5.145  17.24  1000
4.810  18.44  243
4.741  18.72  998
3.990  22.28  192
3.229  27.63  326
3.135  28.47  238
2.764  32.39  346
2.745  32.62  247
2.588  34.65  241
2.409  37.33  285

=====

(8)
Starting from the PBE geometry in Alexandria, the powder diffractogram of Ac3Bi2Au9 was calculated for CuKα.
Neutral-atom scattering factors, no anomalous dispersion.

Structural model:
Cell: 9.1363 9.1363 9.1363 Å, 149.69 112.13 76.11°
Atoms (fractional coordinates):
Ac: 0.0000 0.0000 0.0000
Ac: 0.2924 0.2924 0.0000
Ac: 0.7076 0.7076 0.0000
Bi: 0.3049 0.5000 0.8049
Bi: 0.6951 0.5000 0.1951
Au: 0.0282 0.6623 0.3659
Au: 0.1410 0.8565 0.2845
Au: 0.2965 0.6623 0.6341
Au: 0.4280 0.1435 0.2845
Au: 0.5000 0.0000 0.5000
Au: 0.5720 0.8565 0.7155
Au: 0.7035 0.3377 0.3659
Au: 0.8590 0.1435 0.7155
Au: 0.9718 0.3377 0.6341

Main lines, in order of rising 2θ (5° ≤ 2θ ≤ 70°):
d (Å)  two_theta  Rel. int.
2.940  30.41  218
2.820  31.73  1000
2.769  32.33  704
2.585  34.70  379
2.398  37.50  297
2.388  37.66  499
2.222  40.60  226
1.692  54.20  198
1.518  61.05  254
1.449  64.29  188

=====

- What is the formula in the sixth record?
  AcBi2TeO4

=====

Copy entry 7 word for word.
Starting from the PBE geometry in Alexandria, the powder diffractogram of MgTc2O6 was calculated for CuKα.
Neutral-atom scattering factors, no anomalous dispersion.

Structural model:
Cell: 7.1761 7.1761 5.6624 Å, 101.03 101.03 84.19°
Atoms (fractional coordinates):
Mg: 0.0890 0.9110 0.7500
Mg: 0.9110 0.0890 0.2500
Tc: 0.1721 0.3735 0.5964
Tc: 0.3735 0.1721 0.0964
Tc: 0.6265 0.8279 0.9036
Tc: 0.8279 0.6265 0.4036
O: 0.0521 0.1672 0.6195
O: 0.0617 0.6144 0.7034
O: 0.1672 0.0521 0.1195
O: 0.3326 0.3578 0.3793
O: 0.3578 0.3326 0.8793
O: 0.3856 0.9383 0.7966
O: 0.6144 0.0617 0.2034
O: 0.6422 0.6674 0.1207
O: 0.6674 0.6422 0.6207
O: 0.8328 0.9479 0.8805
O: 0.9383 0.3856 0.2966
O: 0.9479 0.8328 0.3805

Main lines, in order of rising 2θ (5° ≤ 2θ ≤ 70°):
d (Å)  two_theta  Rel. int.
5.145  17.24  1000
4.810  18.44  243
4.741  18.72  998
3.990  22.28  192
3.229  27.63  326
3.135  28.47  238
2.764  32.39  346
2.745  32.62  247
2.588  34.65  241
2.409  37.33  285